# RbTlCoO3
Simulated XRD peak list, Cu Kα. Input: a structure optimized by DFT (GGA+U).
Peak positions follow from Bragg's law for the DFT cell and can differ from measured ones.

Most intense lines, 2θ from 10° to 80°, low angle first:
Position (°2θ)	Rel. int.
14.0	100
25.8	18
28.2	45
29.0	43
31.3	24
31.8	56
32.2	24
32.6	53
37.8	16
38.4	34
47.3	29
52.5	17

Cell lengths 6.920, 3.487, 9.667 Å; angles 90.00, 107.06, 90.00 degrees
Fractional coordinates of all 12 atoms:
Rb (0.168, 0.250, 0.202)
Rb (0.832, 0.750, 0.798)
Tl (0.367, 0.250, 0.853)
Tl (0.633, 0.750, 0.147)
Co (0.140, 0.750, 0.578)
Co (0.860, 0.250, 0.422)
O (0.026, 0.250, 0.631)
O (0.294, 0.750, 0.989)
O (0.408, 0.750, 0.712)
O (0.592, 0.250, 0.288)
O (0.706, 0.250, 0.011)
O (0.974, 0.750, 0.369)